Entry 1:
The following is a theoretical powder diffractogram of NaCoSe2O8. It was derived from a structure optimized by DFT (GGA+U), using Cu Kα (λ = 1.5418 Å).
Peak positions follow from Bragg's law for the DFT cell and can differ from measured ones.

Peak list (6 most intense, 2θ = 10–90°, most intense first)
| hkl | 2theta | Rel. int. |
| --- | --- | --- |
| 1 0 4 | 25.62 | 100 |
| 1 1 0 | 36.56 | 54 |
| 0 0 3 | 11.00 | 43 |
| 0 1 2 | 22.15 | 26 |
| 3 0 0 | 65.85 | 20 |
| 0 2 4 | 45.20 | 18 |

Atomic structure:
```
data_NaCoSe2O8
_chemical_formula_sum 'Na3 Co3 Se6 O24'
_cell_length_a 4.9121
_cell_length_b 4.9121
_cell_length_c 24.1386
_cell_angle_alpha 90.00
_cell_angle_beta 90.00
_cell_angle_gamma 120.00
_space_group_name_H-M_alt 'R -3'
_space_group_IT_number 148
_space_group_name_Hall '-R 3'
loop_
_atom_site_label
_atom_site_fract_x
_atom_site_fract_y
_atom_site_fract_z
Na1 0.0000 0.0000 0.0000
Co1 0.0000 0.0000 0.5000
Se1 0.0000 0.0000 0.2383
O1 0.0000 0.0000 0.3067
O2 0.0009 0.6537 0.1170
```

***

Entry 2:
The following is a theoretical powder diffractogram of NaSr3Co2O6. It was derived from a structure optimized by DFT (GGA+U), using Cu Kα (λ = 1.5418 Å).
Peak positions follow from Bragg's law for the DFT cell and can differ from measured ones.

Peak list (6 most intense, 2θ = 10–90°, most intense first)
| hkl | 2theta | Rel. int. |
| --- | --- | --- |
| 1 1 0 | 29.73 | 100 |
| 0 1 2 | 32.68 | 76 |
| 2 0 2 | 44.76 | 48 |
| 1 2 2 | 54.65 | 34 |
| 0 1 1 | 21.95 | 25 |
| 2 2 0 | 61.73 | 20 |

Atomic structure:
```
data_NaSr3Co2O6
_chemical_formula_sum 'Na1 Sr3 Co2 O6'
_cell_length_a 6.0106
_cell_length_b 6.0106
_cell_length_c 6.4463
_cell_angle_alpha 90.00
_cell_angle_beta 90.00
_cell_angle_gamma 120.00
_space_group_name_H-M_alt 'P -3 m 1'
_space_group_IT_number 164
_space_group_name_Hall '-P 3 2"'
loop_
_atom_site_label
_atom_site_fract_x
_atom_site_fract_y
_atom_site_fract_z
Na1 0.0000 0.0000 0.0000
Sr1 0.0000 0.0000 0.5000
Sr2 0.3333 0.6667 0.1583
Co1 0.3333 0.6667 0.7034
O1 0.1687 0.3373 0.7749
```

***

Entry 3:
The following is a theoretical powder diffractogram of Na2Zn2CoO4. It was derived from a structure optimized by DFT (GGA+U), using Cu Kα (λ = 1.5418 Å).
Peak positions follow from Bragg's law for the DFT cell and can differ from measured ones.

Peak list (6 most intense, 2θ = 10–90°, most intense first)
| hkl | 2theta | Rel. int. |
| --- | --- | --- |
| 2 0 -1 | 15.83 | 100 |
| 1 1 1 | 35.15 | 34 |
| 5 1 -1 | 45.88 | 25 |
| 3 1 -3 | 50.52 | 23 |
| 4 0 -2 | 31.97 | 23 |
| 1 1 -2 | 40.12 | 16 |

Atomic structure:
```
data_Na2Zn2CoO4
_chemical_formula_sum 'Na4 Zn4 Co2 O8'
_cell_length_a 13.091
_cell_length_b 3.020
_cell_length_c 6.815
_cell_angle_alpha 90.00
_cell_angle_beta 114.03
_cell_angle_gamma 90.00
_space_group_name_H-M_alt 'C 1 2/m 1'
_space_group_IT_number 12
_space_group_name_Hall '-C 2y'
loop_
_atom_site_label
_atom_site_fract_x
_atom_site_fract_y
_atom_site_fract_z
Na1 0.125 0.000 0.253
Zn1 0.168 0.500 0.840
Co1 0.000 0.000 0.500
O1 0.004 0.500 0.689
O2 0.236 0.500 0.178
```